[1]
Structure and theoretical X-ray diffraction stick pattern of Er5CuRh2 (DFT lattice parameters and positions (GGA-PBE); Cu Kα).
Lines closer than 0.1° are merged.

```
data_Er5CuRh2
_chemical_formula_sum 'Er20 Cu4 Rh8'
_cell_length_a 7.567
_cell_length_b 7.567
_cell_length_c 13.131
_cell_angle_alpha 90.00
_cell_angle_beta 90.00
_cell_angle_gamma 90.00
_space_group_name_H-M_alt 'I 4/m c m'
_space_group_IT_number 140
_space_group_name_Hall '-I 4 2c'
loop_
_atom_site_label
_atom_site_type_symbol
_atom_site_fract_x
_atom_site_fract_y
_atom_site_fract_z
Er1 Er 0.000 0.000 0.000
Er2 Er 0.162 0.338 0.140
Cu1 Cu 0.000 0.000 0.250
Rh1 Rh 0.139 0.361 0.500
```

Most intense lines, 10° ≤ 2θ ≤ 80°, low angle first:
2θ/deg, Rel. int., (hkl)
27.21, 15.3, 0 0 4
31.99, 14.3, 1 1 4
33.47, 100.0, 2 1 3
36.23, 23.5, 2 0 4
37.59, 45.0, 3 1 0
43.63, 13.4, 2 1 5
54.19, 20.4, 4 1 3
56.06, 18.7, 0 0 8
69.46, 15.7, 3 1 8
70.37, 16.5, 5 2 3

[2]
Structure and theoretical X-ray diffraction stick pattern of Er4Cu3Rh (DFT lattice parameters and positions (GGA-PBE); Cu Kα).
Lines closer than 0.1° are merged.

```
data_Er4Cu3Rh
_chemical_formula_sum 'Er4 Cu3 Rh1'
_cell_length_a 3.692
_cell_length_b 4.393
_cell_length_c 10.334
_cell_angle_alpha 90.00
_cell_angle_beta 90.00
_cell_angle_gamma 90.00
_space_group_name_H-M_alt 'P m m 2'
_space_group_IT_number 25
loop_
_space_group_symop_operation_xyz
'x,y,z'
'-x,-y,z'
'-x,y,z'
'x,-y,z'
loop_
_atom_site_label
_atom_site_type_symbol
_atom_site_fract_x
_atom_site_fract_y
_atom_site_fract_z
Er1 Er 0.000 0.000 0.000
Er2 Er 0.000 0.500 0.274
Er3 Er 0.500 0.000 0.490
Er4 Er 0.500 0.500 0.776
Cu1 Cu 0.000 0.000 0.708
Cu2 Cu 0.000 0.500 0.564
Cu3 Cu 0.500 0.500 0.057
Rh1 Rh 0.500 0.000 0.217
```

Most intense lines, 10° ≤ 2θ ≤ 80°, low angle first:
2θ/deg, Rel. int., (hkl)
26.63, 30.2, 0 1 2
32.85, 100.0, 1 1 1
34.72, 26.2, 0 0 4
35.65, 35.6, 1 0 3
40.51, 18.6, 0 1 4
41.09, 29.9, 0 2 0
41.32, 49.1, 1 1 3
49.37, 17.5, 2 0 0
55.51, 20.0, 1 2 3
76.90, 14.5, 2 2 4

[3]
Structure and theoretical X-ray diffraction stick pattern of Er4Cu2Rh (DFT lattice parameters and positions (GGA-PBE); Cu Kα).
Lines closer than 0.1° are merged.

```
data_Er4Cu2Rh
_chemical_formula_sum 'Er12 Cu6 Rh3'
_cell_length_a 4.8361
_cell_length_b 4.8361
_cell_length_c 23.4605
_cell_angle_alpha 90.00
_cell_angle_beta 90.00
_cell_angle_gamma 120.00
_space_group_name_H-M_alt 'R -3 m'
_space_group_IT_number 166
_space_group_name_Hall '-R 3 2"'
loop_
_atom_site_label
_atom_site_type_symbol
_atom_site_fract_x
_atom_site_fract_y
_atom_site_fract_z
Er1 Er 0.0000 0.0000 0.1242
Er2 Er 0.0000 0.0000 0.3752
Cu1 Cu 0.0000 0.0000 0.2500
Rh1 Rh 0.0000 0.0000 0.0000
```

Most intense lines, 10° ≤ 2θ ≤ 80°, low angle first:
2θ/deg, Rel. int., (hkl)
26.14, 52.3, 1 0 4
37.18, 100.0, 1 1 0
37.44, 98.1, 0 1 8
46.02, 11.8, 0 2 4
53.79, 34.3, 2 0 8
60.59, 10.8, 2 1 4
67.04, 17.5, 3 0 0
67.20, 34.7, 1 2 8
67.70, 17.0, 1 0 16
79.23, 10.9, 2 2 0

[4]
Structure and theoretical X-ray diffraction stick pattern of Er2CuRh (DFT lattice parameters and positions (GGA-PBE); Cu Kα).
Lines closer than 0.1° are merged.

```
data_Er2CuRh
_chemical_formula_sum 'Er4 Cu2 Rh2'
_cell_length_a 5.521
_cell_length_b 4.303
_cell_length_c 7.509
_cell_angle_alpha 90.00
_cell_angle_beta 110.15
_cell_angle_gamma 90.00
_space_group_name_H-M_alt 'P 1 21/m 1'
_space_group_IT_number 11
loop_
_space_group_symop_operation_xyz
'x,y,z'
'-x,-y,-z'
'-x,y+1/2,-z'
'x,-y+1/2,z'
loop_
_atom_site_label
_atom_site_type_symbol
_atom_site_fract_x
_atom_site_fract_y
_atom_site_fract_z
Er1 Er 0.217 0.250 0.434
Er2 Er 0.226 0.250 0.928
Cu1 Cu 0.343 0.750 0.211
Rh1 Rh 0.344 0.750 0.713
```

Most intense lines, 10° ≤ 2θ ≤ 80°, low angle first:
2θ/deg, Rel. int., (hkl)
26.93, 23.3, 1 1 0
32.81, 100.0, 1 1 -2
34.61, 27.1, 2 0 0
35.21, 16.6, 2 0 -2
35.39, 17.0, 1 0 2
40.64, 19.0, 2 1 0
41.17, 26.7, 2 1 -2
41.32, 26.8, 1 1 2
42.00, 29.5, 0 2 0
48.49, 18.7, 1 0 -4

[5]
Structure and theoretical X-ray diffraction stick pattern of Er4ZnCu2Rh (DFT lattice parameters and positions (GGA-PBE); Cu Kα).
Lines closer than 0.1° are merged.

```
data_Er4ZnCu2Rh
_chemical_formula_sum 'Er12 Zn3 Cu6 Rh3'
_cell_length_a 4.8812
_cell_length_b 4.8812
_cell_length_c 23.9316
_cell_angle_alpha 90.00
_cell_angle_beta 90.00
_cell_angle_gamma 120.00
_space_group_name_H-M_alt 'R -3 m'
_space_group_IT_number 166
_space_group_name_Hall '-R 3 2"'
loop_
_atom_site_label
_atom_site_type_symbol
_atom_site_fract_x
_atom_site_fract_y
_atom_site_fract_z
Er1 Er 0.0000 0.0000 0.1213
Er2 Er 0.0000 0.0000 0.3719
Zn1 Zn 0.0000 0.0000 0.5000
Cu1 Cu 0.0000 0.0000 0.2453
Rh1 Rh 0.0000 0.0000 0.0000
```

Most intense lines, 10° ≤ 2θ ≤ 80°, low angle first:
2θ/deg, Rel. int., (hkl)
11.09, 0.9, 0 0 3
25.81, 15.5, 1 0 4
36.82, 100.0, 1 1 0
45.51, 4.6, 0 2 4
50.78, 1.1, 1 1 9
53.05, 17.1, 2 0 8
59.91, 6.3, 2 1 4
66.32, 34.1, 3 0 0
70.51, 1.0, 0 1 17
78.33, 10.4, 2 2 0

[6]
Structure and theoretical X-ray diffraction stick pattern of ErCuS2 (DFT lattice parameters and positions (GGA-PBE); Cu Kα).
Lines closer than 0.1° are merged.

```
data_ErCuS2
_chemical_formula_sum 'Er4 Cu4 S8'
_cell_length_a 3.933
_cell_length_b 6.239
_cell_length_c 13.345
_cell_angle_alpha 90.00
_cell_angle_beta 90.00
_cell_angle_gamma 90.00
_space_group_name_H-M_alt 'P 21 21 21'
_space_group_IT_number 19
loop_
_space_group_symop_operation_xyz
'x,y,z'
'-x+1/2,-y,z+1/2'
'x+1/2,-y+1/2,-z'
'-x,y+1/2,-z+1/2'
loop_
_atom_site_label
_atom_site_type_symbol
_atom_site_fract_x
_atom_site_fract_y
_atom_site_fract_z
Er1 Er 0.249 0.248 0.133
Cu1 Cu 0.248 0.625 0.955
S1 S 0.249 0.005 0.960
S2 S 0.249 0.489 0.795
```

Most intense lines, 10° ≤ 2θ ≤ 80°, low angle first:
2θ/deg, Rel. int., (hkl)
15.68, 42.6, 0 1 1
24.58, 100.0, 0 1 3
26.31, 25.1, 1 0 2
27.63, 95.9, 1 1 1
33.64, 58.3, 1 1 3
39.26, 81.4, 1 2 2
39.55, 38.2, 0 2 4
46.17, 29.1, 2 0 0
46.93, 52.1, 1 0 6
50.06, 29.1, 0 1 7